Starting from a crystal structure in OQMD, relaxed with GGA-PBE, the X-ray powder pattern of PrS was simulated for CuKα.
Lines closer than 0.1° are merged.

Structural model:
Cell: 4.102 4.102 4.102 Å, 60.00 60.00 60.00°
Element x y z (fractional)
Pr 0.000 0.000 0.000
S 0.500 0.500 0.500

Top 6 peaks for 10° ≤ 2θ ≤ 90°, in order of rising 2θ:
- 2θ 26.61, I 73
- 2θ 30.82, I 100
- 2θ 44.15, I 73
- 2θ 52.30, I 36
- 2θ 54.81, I 25
- 2θ 72.92, I 32